1.
For HfZr14Ta, the PBE geometry in Alexandria gives the calculated XRD peak list in this record (Cu Kα (weighted mean of Kα1 and Kα2)).

Main lines, low angle first (2θ from 15° to 90°):
2θ = 34.78°, I 100; 2θ = 37.28°, I 15; 2θ = 37.42°, I 24; 2θ = 45.92°, I 10; 2θ = 60.63°, I 13; 2θ = 65.81°, I 14

Cell and atoms:
a = 9.613 Å, b = 6.236 Å, c = 6.236 Å
α = 78.67°, β = 90.00°, γ = 90.00°
Sites, in units of the cell vectors:
Hf (0.000, 0.000, 0.000)
Zr (0.000, 0.514, 0.950)
Zr (0.000, 0.950, 0.514)
Zr (0.232, 0.238, 0.238)
Zr (0.243, 0.290, 0.728)
Zr (0.243, 0.728, 0.290)
Zr (0.263, 0.783, 0.783)
Zr (0.500, 0.017, 0.017)
Zr (0.500, 0.075, 0.502)
Zr (0.500, 0.502, 0.075)
Zr (0.500, 0.568, 0.568)
Zr (0.737, 0.783, 0.783)
Zr (0.757, 0.290, 0.728)
Zr (0.757, 0.728, 0.290)
Zr (0.768, 0.238, 0.238)
Ta (0.000, 0.451, 0.451)



2.
For Tb3Hf, the PBE geometry in Alexandria gives the calculated XRD peak list in this record (Cu Kα (weighted mean of Kα1 and Kα2)).

Main lines, low angle first (2θ from 15° to 90°):
2θ = 29.52°, I 23; 2θ = 32.60°, I 36; 2θ = 33.63°, I 49; 2θ = 33.82°, I 100; 2θ = 52.11°, I 19; 2θ = 62.83°, I 22

Cell and atoms:
a = 6.520 Å, b = 6.520 Å, c = 6.520 Å
α = 148.98°, β = 65.16°, γ = 124.27°
Sites, in units of the cell vectors:
Tb (0.000, 0.000, 0.000)
Tb (0.104, 0.345, 0.760)
Tb (0.585, 0.345, 0.240)
Hf (0.515, 0.015, 0.500)



3.
For Tb3Hf, the PBE geometry in Alexandria gives the calculated XRD peak list in this record (Cu Kα (weighted mean of Kα1 and Kα2)).

Main lines, low angle first (2θ from 15° to 90°):
2θ = 31.89°, I 100; 2θ = 36.91°, I 34; 2θ = 37.14°, I 17; 2θ = 53.36°, I 24; 2θ = 63.37°, I 28; 2θ = 63.68°, I 14

Cell and atoms:
a = 5.941 Å, b = 5.941 Å, c = 5.941 Å
α = 131.60°, β = 131.60°, γ = 70.86°
Sites, in units of the cell vectors:
Tb (0.000, 0.000, 0.000)
Tb (0.250, 0.750, 0.500)
Tb (0.750, 0.250, 0.500)
Hf (0.500, 0.500, 0.000)